Na2NdCl6: computed X-ray diffraction stick pattern (copper Kα), based on a DFT-relaxed cell (PBE, Alexandria).

Structural model:
abc: 7.768 7.768 9.081
angles: 123.07 123.07 36.52
Positions (direct):
Na 0.174 0.174 0.108
Na 0.826 0.826 0.892
Nd 0.000 0.000 0.500
Cl 0.035 0.035 0.226
Cl 0.218 0.218 0.827
Cl 0.383 0.383 0.481
Cl 0.617 0.617 0.519
Cl 0.782 0.782 0.173
Cl 0.965 0.965 0.774

Main lines, sorted by position (2θ from 10° to 80°):
- 11.91°, I = 52
- 12.50°, I = 79
- 14.67°, I = 27
- 19.64°, I = 100
- 23.73°, I = 28
- 28.15°, I = 27
- 30.85°, I = 18
- 35.97°, I = 44
- 36.26°, I = 22
- 36.93°, I = 31
- 38.68°, I = 49
- 41.75°, I = 28


CeBiN2: computed X-ray diffraction stick pattern (copper Kα), based on a DFT-relaxed cell (PBE, Alexandria).

Structural model:
abc: 3.656 3.656 20.497
angles: 90.00 90.00 120.00
Positions (direct):
Ce 0.000 0.000 0.000
Ce 0.333 0.667 0.667
Ce 0.667 0.333 0.333
Bi 0.000 0.000 0.500
Bi 0.333 0.667 0.167
Bi 0.667 0.333 0.833
N 0.000 0.000 0.386
N 0.000 0.000 0.614
N 0.333 0.667 0.053
N 0.333 0.667 0.281
N 0.667 0.333 0.719
N 0.667 0.333 0.947

Main lines, sorted by position (2θ from 10° to 80°):
- 26.08°, I = 41
- 29.53°, I = 100
- 33.27°, I = 61
- 45.55°, I = 34
- 49.89°, I = 27
- 53.24°, I = 21
- 57.16°, I = 30
- 59.05°, I = 14
- 61.29°, I = 11
- 69.85°, I = 9
- 70.92°, I = 8
- 76.30°, I = 13


Question: What is the formula in the first record?
Answer: Na2NdCl6


Copy entry 2 word for word.
CeBiN2: computed X-ray diffraction stick pattern (copper Kα), based on a DFT-relaxed cell (PBE, Alexandria).

Structural model:
abc: 3.656 3.656 20.497
angles: 90.00 90.00 120.00
Positions (direct):
Ce 0.000 0.000 0.000
Ce 0.333 0.667 0.667
Ce 0.667 0.333 0.333
Bi 0.000 0.000 0.500
Bi 0.333 0.667 0.167
Bi 0.667 0.333 0.833
N 0.000 0.000 0.386
N 0.000 0.000 0.614
N 0.333 0.667 0.053
N 0.333 0.667 0.281
N 0.667 0.333 0.719
N 0.667 0.333 0.947

Main lines, sorted by position (2θ from 10° to 80°):
- 26.08°, I = 41
- 29.53°, I = 100
- 33.27°, I = 61
- 45.55°, I = 34
- 49.89°, I = 27
- 53.24°, I = 21
- 57.16°, I = 30
- 59.05°, I = 14
- 61.29°, I = 11
- 69.85°, I = 9
- 70.92°, I = 8
- 76.30°, I = 13